This entry pairs a crystal structure of HfTa3Co2 with its simulated X-ray powder pattern. Radiation: Cu Ka. Structure: DFT lattice parameters and positions (PBE).
Intensities are scaled so that the largest is 100.

Cell and atoms:
Cell lengths 5.0357, 8.7180, 8.6997 Å; angles 90.00, 90.00, 90.00 degrees
Space group Fmm2 (No. 42)
Inequivalent atoms, fractional coordinates:
Hf 0.0000 0.0000 0.0000 x4
Ta 0.0000 0.0000 0.6756 x4
Ta 0.0000 0.1614 0.3379 x8
Co 0.2500 0.2500 0.0884 x8

Top 12 peaks for 10 to 90 degrees two-theta, low angle first:
29.0°, intensity 6; 35.7°, intensity 16; 37.2°, intensity 100; 41.4°, intensity 15; 46.6°, intensity 40; 60.1°, intensity 8; 65.1°, intensity 28; 65.2°, intensity 8; 71.9°, intensity 7; 75.5°, intensity 11; 75.7°, intensity 7; 87.4°, intensity 13



This entry pairs a crystal structure of Hf5Co2Te2 with its simulated X-ray powder pattern. Radiation: Cu Ka. Structure: DFT lattice parameters and positions (PBE).
Intensities are scaled so that the largest is 100.

Cell and atoms:
Cell lengths 3.7054, 14.1204, 13.8446 Å; angles 90.00, 90.00, 90.00 degrees
Space group Cmcm (No. 63)
Inequivalent atoms, fractional coordinates:
Hf 0.0000 0.0365 0.1322 x8
Hf 0.0000 0.2623 0.6344 x8
Hf 0.0000 0.3877 0.2500 x4
Co 0.0000 0.1967 0.2500 x4
Co 0.0000 0.4275 0.7500 x4
Te 0.0000 0.3844 0.0380 x8

Top 12 peaks for 10 to 90 degrees two-theta, low angle first:
30.7°, intensity 52; 31.4°, intensity 100; 34.8°, intensity 34; 36.1°, intensity 87; 36.4°, intensity 88; 36.5°, intensity 41; 38.8°, intensity 45; 40.1°, intensity 23; 41.2°, intensity 51; 49.2°, intensity 41; 62.2°, intensity 43; 62.7°, intensity 36



This entry pairs a crystal structure of HfZnCo2 with its simulated X-ray powder pattern. Radiation: Cu Ka. Structure: DFT lattice parameters and positions (PBE).
Intensities are scaled so that the largest is 100.

Cell and atoms:
Cell lengths 4.0450, 4.0450, 3.2734 Å; angles 90.00, 90.00, 90.00 degrees
Space group P4/mmm (No. 123)
Inequivalent atoms, fractional coordinates:
Hf 0.0000 0.0000 0.0000 x1
Zn 0.5000 0.5000 0.0000 x1
Co 0.0000 0.5000 0.5000 x2

Top 12 peaks for 10 to 90 degrees two-theta, low angle first:
22.0°, intensity 21; 27.2°, intensity 8; 31.3°, intensity 12; 35.3°, intensity 13; 41.9°, intensity 100; 44.8°, intensity 41; 53.2°, intensity 6; 56.2°, intensity 10; 58.3°, intensity 6; 65.2°, intensity 13; 74.6°, intensity 17; 80.6°, intensity 28